Structure and simulated powder diffractogram of Li2Sn4Cl9 (a cell relaxed with PBE; Cu Kα).
Kinematic intensities with the Lorentz-polarization factor, no thermal factor.

Top 10 peaks for 10° ≤ 2θ ≤ 80°, low angle first:
Position (°2θ)	intensity	hkl
14.08	57	0 1 0
15.64	62	1 0 1
19.99	97	1 0 3
21.72	100	1 -1 4
23.04	57	-1 1 4
23.21	72	0 1 4
31.23	63	0 2 -4
31.82	58	2 -2 3
39.82	90	-2 1 7
45.51	57	3 0 -1

```
30
Lattice="6.7906 0.0000 0.0000 -3.3934 6.3367 0.0000 -0.0407 -2.6411 21.2589" Properties=species:S:1:pos:R:3 pbc="T T T"
Li -0.7818 2.4592 3.6855
Li -0.7838 2.6040 6.9230
Li 4.1402 1.0916 14.3359
Li 4.1382 1.2364 17.5734
Sn 0.8007 -1.5310 20.5143
Sn 0.9753 -0.7803 14.4962
Sn 2.3782 0.5814 3.8671
Sn 2.5559 -0.1901 9.8912
Sn 0.8005 3.8857 11.3677
Sn 0.9782 3.1142 17.3918
Sn 2.3812 4.4759 6.7627
Sn 2.5558 5.2266 0.7445
Cl -2.1530 4.7978 2.2033
Cl 0.0754 0.7545 5.3080
Cl -1.9753 4.2188 8.5493
Cl -0.4802 1.1670 15.9440
Cl -1.4588 2.8672 19.1880
Cl -1.2837 3.4492 12.8155
Cl 1.2926 2.4279 2.3150
Cl 0.0834 4.3060 5.3086
Cl 1.2906 2.6218 8.2997
Cl 2.0658 1.0738 12.9592
Cl 3.2731 -0.6104 15.9502
Cl 2.0638 1.2677 18.9439
Cl 4.6401 0.2464 8.4434
Cl 4.8152 0.8284 2.0708
Cl 3.8367 2.5286 5.3149
Cl 5.3317 -0.5232 12.7095
Cl 3.2810 2.9411 15.9509
Cl 5.5094 -1.1022 19.0556
```